# 1
Structure and theoretical PXRD pattern of RbLaCd (DFT lattice parameters and positions (GGA-PBE); Cu Ka).
Lines closer than 0.1° are merged.

Main lines, by angle (5° ≤ 2θ ≤ 70°):
2θ 9.38, I 20.2
2θ 26.13, I 17.4
2θ 26.63, I 24.9
2θ 28.40, I 23.9
2θ 29.80, I 100.0
2θ 30.27, I 22.5
2θ 32.83, I 18.3
2θ 46.86, I 13.6
2θ 47.00, I 17.0
2θ 58.57, I 18.2

Crystal structure
a = 18.8514 Å, b = 3.8882 Å, c = 3.8882 Å
α = 61.31°, β = 90.00°, γ = 90.00°
Fractional positions:
Rb 0.1628 0.0000 0.0000
Rb 0.8372 0.0000 0.0000
La 0.3687 0.5571 0.5571
La 0.6313 0.5571 0.5571
Cd 0.0000 0.6586 0.6586
Cd 0.5000 0.8959 0.8959

# 2
Structure and theoretical PXRD pattern of RbLa2CdRu (DFT lattice parameters and positions (GGA-PBE); Cu Ka).
Lines closer than 0.1° are merged.

Main lines, by angle (5° ≤ 2θ ≤ 70°):
2θ 15.44, I 22.8
2θ 16.21, I 23.3
2θ 27.83, I 100.0
2θ 31.17, I 45.2
2θ 32.76, I 79.0
2θ 45.85, I 61.1
2θ 47.02, I 28.4
2θ 53.44, I 16.0
2θ 55.52, I 28.4
2θ 57.49, I 30.8

Crystal structure
a = 5.4667 Å, b = 5.4667 Å, c = 5.7394 Å
α = 90.00°, β = 90.00°, γ = 90.00°
Fractional positions:
Rb 0.0000 0.0000 0.0000
La 0.0000 0.5000 0.5000
La 0.5000 0.0000 0.5000
Cd 0.5000 0.5000 0.0000
Ru 0.5000 0.5000 0.5000

# 3
Structure and theoretical PXRD pattern of LaCdRe (DFT lattice parameters and positions (GGA-PBE); Cu Ka).
Lines closer than 0.1° are merged.

Main lines, by angle (5° ≤ 2θ ≤ 70°):
2θ 11.86, I 20.8
2θ 35.76, I 100.0
2θ 36.12, I 20.5
2θ 36.70, I 24.6
2θ 43.44, I 10.7
2θ 50.47, I 9.9
2θ 52.44, I 14.1
2θ 64.01, I 9.6
2θ 64.72, I 11.1
2θ 65.48, I 16.9

Crystal structure
a = 7.8513 Å, b = 7.6757 Å, c = 3.0441 Å
α = 81.96°, β = 75.47°, γ = 22.58°
Fractional positions:
La 0.0000 0.0000 0.0000
Cd 0.6995 0.6995 0.3005
Re 0.3474 0.3474 0.6526

# 4
Structure and theoretical PXRD pattern of LaCd9Rh3 (DFT lattice parameters and positions (GGA-PBE); Cu Ka).
Lines closer than 0.1° are merged.

Main lines, by angle (5° ≤ 2θ ≤ 70°):
2θ 31.82, I 68.2
2θ 36.22, I 45.0
2θ 36.33, I 58.4
2θ 36.55, I 29.6
2θ 36.69, I 35.8
2θ 37.22, I 100.0
2θ 37.35, I 75.0
2θ 40.62, I 38.6
2θ 41.17, I 52.7
2θ 41.36, I 31.1

Crystal structure
a = 7.3381 Å, b = 7.3381 Å, c = 7.4848 Å
α = 98.61°, β = 98.61°, γ = 133.71°
Fractional positions:
La 0.0000 0.0000 0.0000
Cd 0.0244 0.6745 0.6686
Cd 0.2774 0.4999 0.7852
Cd 0.3255 0.9756 0.3314
Cd 0.4999 0.2774 0.7852
Cd 0.5000 0.5000 0.5000
Cd 0.5001 0.7226 0.2148
Cd 0.6745 0.0244 0.6686
Cd 0.7226 0.5001 0.2148
Cd 0.9756 0.3255 0.3314
Rh 0.0000 0.0000 0.5000
Rh 0.0000 0.5000 0.0000
Rh 0.5000 0.0000 0.0000

# 5
Structure and theoretical PXRD pattern of La3Cd2Rh3 (DFT lattice parameters and positions (GGA-PBE); Cu Ka).
Lines closer than 0.1° are merged.

Main lines, by angle (5° ≤ 2θ ≤ 70°):
2θ 12.03, I 14.8
2θ 29.98, I 24.1
2θ 32.19, I 22.3
2θ 35.62, I 86.7
2θ 36.64, I 83.8
2θ 36.83, I 100.0
2θ 47.07, I 22.5
2θ 52.93, I 22.6
2θ 56.67, I 15.7
2θ 56.95, I 22.1

Crystal structure
a = 8.4962 Å, b = 8.4962 Å, c = 5.9619 Å
α = 90.00°, β = 90.00°, γ = 120.00°
Fractional positions:
La 0.0000 0.2745 0.2500
La 0.0000 0.7255 0.7500
La 0.2745 0.0000 0.2500
La 0.2745 0.2745 0.7500
La 0.7255 0.0000 0.7500
La 0.7255 0.7255 0.2500
Cd 0.3333 0.6667 0.0000
Cd 0.3333 0.6667 0.5000
Cd 0.6667 0.3333 0.0000
Cd 0.6667 0.3333 0.5000
Rh 0.0000 0.3884 0.7500
Rh 0.0000 0.6116 0.2500
Rh 0.3884 0.0000 0.7500
Rh 0.3884 0.3884 0.2500
Rh 0.6116 0.0000 0.2500
Rh 0.6116 0.6116 0.7500

- What is the formula in the fourth record?
  LaCd9Rh3